Calculated X-ray diffraction stick pattern
Compound: CaAl2Pb
Radiation: λ = 1.5418 Å (Cu Kα)
Structure: a crystal structure in Alexandria, relaxed with GGA-PBE

Cell and atoms:
Cell lengths 3.366, 4.719, 6.259 Å; angles 90.00, 90.05, 90.00 degrees
Positions (direct):
1 Ca 0.000 0.000 0.000
2 Al 0.500 0.000 0.449
3 Al 0.501 0.500 0.236
4 Pb 0.499 0.500 0.737

Principal peaks in the range 2θ = 15–90°, by angle:
d (Å), Position (°2θ), I/Imax, (hkl)
4.719, 18.8, 61, 0 1 0
3.768, 23.6, 100, 0 1 1
2.964, 30.1, 55, 1 0 1
2.740, 32.7, 78, 1 1 0
2.608, 34.4, 99, 0 1 2
2.510, 35.8, 75, 1 1 -1